For Cs2LiH2, the GGA-PBE geometry in Alexandria gives the simulated PXRD pattern in this record (copper Kα).

Unit cell a=10.946 b=9.138 c=8.369 alpha=90.00 beta=106.09 gamma=90.00
Space group P2_1/c (No. 14)
Asymmetric unit:
Cs  0.157  0.154  0.350
Cs  0.324  0.635  0.495
Li  0.452  0.038  0.611
H  0.383  0.101  0.768
H  0.386  0.556  0.907

Principal peaks in the range 5 to 70 degrees two-theta, most intense first:
(hkl)	2theta	I_rel
1 2 -1	22.82	100
2 1 0	19.47	89
1 0 -2	21.36	40
1 1 2	27.64	36
1 1 1	18.41	34
2 0 0	16.86	29
2 2 -3	38.61	25
2 0 -2	23.84	24
3 1 -1	26.61	24
1 3 1	33.39	22

For CsLiH4SO5, the GGA-PBE geometry in Alexandria gives the simulated PXRD pattern in this record (copper Kα).

Unit cell a=12.143 b=5.759 c=4.787 alpha=90.00 beta=107.98 gamma=90.00
Space group Cm (No. 8)
Asymmetric unit:
Cs  0.000  0.000  0.000
Li  0.322  0.000  0.376
H  0.041  0.500  0.433
H  0.042  0.500  0.771
H  0.238  0.134  0.787
S  0.239  0.500  0.269
O  0.105  0.500  0.149
O  0.226  0.000  0.650
O  0.277  0.286  0.128
O  0.490  0.000  0.563

Principal peaks in the range 5 to 70 degrees two-theta, most intense first:
(hkl)	2theta	I_rel
1 1 1	27.88	100
4 0 0	31.01	55
3 1 -1	29.72	54
1 1 0	17.21	54
0 0 1	19.50	43
2 0 -2	37.69	37
2 0 -1	20.78	27
1 1 -2	41.08	19
2 2 0	34.82	18
1 1 -1	24.24	16

For CsLiH6Os, the GGA-PBE geometry in Alexandria gives the simulated PXRD pattern in this record (copper Kα).

Unit cell a=9.759 b=3.567 c=6.559 alpha=90.00 beta=99.80 gamma=90.00
Space group Cm (No. 8)
Asymmetric unit:
Cs  0.000  0.000  0.000
Li  0.332  0.000  0.472
H  0.002  0.500  0.658
H  0.136  0.000  0.583
H  0.191  0.500  0.790
H  0.205  0.500  0.311
H  0.311  0.500  0.596
H  0.496  0.000  0.344
Os  0.138  0.500  0.535

Principal peaks in the range 5 to 70 degrees two-theta, most intense first:
(hkl)	2theta	I_rel
1 1 -1	29.34	100
2 0 0	18.45	71
1 1 1	30.82	70
0 0 2	27.60	62
2 0 -1	21.07	59
2 0 1	24.89	57
3 1 0	37.73	52
4 0 -1	37.62	32
2 0 -2	30.59	30
3 1 -2	44.27	28

For Cs2LiHSe, the GGA-PBE geometry in Alexandria gives the simulated PXRD pattern in this record (copper Kα).

Unit cell a=4.4429 b=4.4429 c=9.4016 alpha=90.00 beta=90.00 gamma=120.00
Space group P-6m2 (No. 187)
Asymmetric unit:
Cs  0.0000  0.0000  0.2068
Li  0.6667  0.3333  0.5000
H  0.3333  0.6667  0.0000
Se  0.3333  0.6667  0.5000

Principal peaks in the range 5 to 70 degrees two-theta, most intense first:
(hkl)	2theta	I_rel
1 0 2	30.01	100
1 0 0	23.12	66
1 0 1	25.01	35
1 1 0	40.61	35
1 1 3	50.35	23
1 0 5	54.30	22
2 0 2	51.31	22
1 0 3	37.00	19
2 1 2	67.41	19
0 0 3	28.48	19

For Cs2LiHSe, the GGA-PBE geometry in Alexandria gives the simulated PXRD pattern in this record (copper Kα).

Unit cell a=12.149 b=4.624 c=6.757 alpha=90.00 beta=122.80 gamma=90.00
Space group Cm (No. 8)
Asymmetric unit:
Cs  0.000  0.000  0.000
Cs  0.136  0.500  0.635
Li  0.318  0.000  0.449
H  0.319  0.000  0.719
Se  0.316  0.500  0.300

Principal peaks in the range 5 to 70 degrees two-theta, most intense first:
(hkl)	2theta	I_rel
2 0 1	29.12	100
2 0 -2	26.38	63
1 1 0	21.09	63
3 1 -1	29.36	52
1 1 -1	23.31	50
4 0 -1	29.59	45
2 2 -2	47.66	25
0 0 3	48.07	24
0 2 0	38.96	23
2 2 1	49.40	21

For Cs2LiHSe, the GGA-PBE geometry in Alexandria gives the simulated PXRD pattern in this record (copper Kα).

Unit cell a=4.4801 b=4.4801 c=27.5294 alpha=90.00 beta=90.00 gamma=120.00
Space group R3m (No. 160, hexagonal axes)
Asymmetric unit:
Cs  0.0000  0.0000  0.0000
Cs  0.0000  0.0000  0.1992
Li  0.0000  0.0000  0.4332
H  0.0000  0.0000  0.5992
Se  0.0000  0.0000  0.7662

Principal peaks in the range 5 to 70 degrees two-theta, most intense first:
(hkl)	2theta	I_rel
0 1 5	28.14	100
1 0 4	26.37	81
1 1 0	40.23	67
1 0 1	23.15	54
1 1 9	50.50	34
0 0 9	29.20	26
2 0 5	49.84	20
1 2 5	65.92	17
0 2 4	48.77	15
1 0 7	32.41	15